Entry 1:
Diffraction record for Zr2Bi2Au. The powder XRD pattern is simulated, not measured: it uses a PBE-relaxed structure and Cu Kα (weighted mean of Kα1 and Kα2).
Peak positions follow from Bragg's law for the DFT cell and can differ from measured ones.

```
Zr2Bi2Au
1.0
-2.474 2.474 5.950
2.474 -2.474 5.950
2.474 2.474 -5.950
Zr Bi Au
2 2 1
direct
0.250 0.750 0.500
0.750 0.250 0.500
0.123 0.123 0.000
0.877 0.877 0.000
0.500 0.500 0.000
```

The 12 most intense peaks (2θ = 10–90°), in order of rising 2θ:
- 25.5°, rel. 519
- 28.8°, rel. 1000
- 29.6°, rel. 630
- 36.3°, rel. 757
- 39.8°, rel. 298
- 42.1°, rel. 405
- 47.0°, rel. 541
- 52.3°, rel. 269
- 56.8°, rel. 342
- 61.2°, rel. 158
- 72.9°, rel. 152
- 74.4°, rel. 192

=====

Entry 2:
Diffraction record for AuBr6. The powder XRD pattern is simulated, not measured: it uses a PBE-relaxed structure and Cu Kα (weighted mean of Kα1 and Kα2).
Peak positions follow from Bragg's law for the DFT cell and can differ from measured ones.

```
AuBr6
1.0
3.324 1.919 5.269
-3.324 1.919 5.269
0.000 -3.838 5.269
Au Br
1 6
direct
0.000 0.000 0.000
0.123 0.755 0.393
0.245 0.607 0.877
0.393 0.123 0.755
0.607 0.877 0.245
0.755 0.393 0.123
0.877 0.245 0.607
```

The 12 most intense peaks (2θ = 10–90°), in order of rising 2θ:
- 16.4°, rel. 405
- 19.1°, rel. 501
- 31.6°, rel. 101
- 31.8°, rel. 1000
- 38.7°, rel. 137
- 41.9°, rel. 126
- 43.1°, rel. 122
- 43.9°, rel. 367
- 47.4°, rel. 300
- 58.2°, rel. 146
- 59.0°, rel. 127
- 59.5°, rel. 145

=====

Entry 3:
Diffraction record for AuBr3. The powder XRD pattern is simulated, not measured: it uses a PBE-relaxed structure and Cu Kα (weighted mean of Kα1 and Kα2).
Peak positions follow from Bragg's law for the DFT cell and can differ from measured ones.

```
AuBr3
1.0
6.766 0.000 0.000
0.000 20.443 0.000
-3.998 0.000 7.128
Au Br
8 24
direct
0.131 0.212 0.285
0.131 0.288 0.785
0.234 0.037 0.260
0.234 0.463 0.760
0.766 0.537 0.240
0.766 0.963 0.740
0.869 0.712 0.215
0.869 0.788 0.715
0.025 0.565 0.732
0.025 0.935 0.232
0.071 0.606 0.238
0.071 0.894 0.738
0.182 0.729 0.713
0.182 0.771 0.213
0.328 0.185 0.793
0.328 0.315 0.293
0.446 0.143 0.300
0.446 0.357 0.800
0.460 0.025 0.751
0.460 0.475 0.251
0.540 0.525 0.749
0.540 0.975 0.249
0.554 0.643 0.200
0.554 0.857 0.700
0.672 0.685 0.707
0.672 0.815 0.207
0.818 0.229 0.787
0.818 0.271 0.287
0.929 0.106 0.262
0.929 0.394 0.762
0.975 0.065 0.768
0.975 0.435 0.268
```

The 12 most intense peaks (2θ = 10–90°), in order of rising 2θ:
- 14.7°, rel. 354
- 15.2°, rel. 253
- 15.6°, rel. 257
- 17.4°, rel. 212
- 25.0°, rel. 1000
- 31.8°, rel. 233
- 34.3°, rel. 196
- 34.5°, rel. 223
- 38.0°, rel. 160
- 39.3°, rel. 175
- 44.4°, rel. 154
- 51.3°, rel. 177

=====

Entry 4:
Diffraction record for AuCBr6. The powder XRD pattern is simulated, not measured: it uses a PBE-relaxed structure and Cu Kα (weighted mean of Kα1 and Kα2).
Peak positions follow from Bragg's law for the DFT cell and can differ from measured ones.

```
AuCBr6
1.0
0.000 4.722 4.722
4.722 0.000 4.722
4.722 4.722 0.000
Au C Br
1 1 6
direct
0.000 0.000 0.000
0.750 0.750 0.750
0.509 0.509 0.991
0.509 0.991 0.509
0.509 0.991 0.991
0.991 0.509 0.509
0.991 0.509 0.991
0.991 0.991 0.509
```

The 12 most intense peaks (2θ = 10–90°), in order of rising 2θ:
- 16.3°, rel. 474
- 31.4°, rel. 288
- 32.9°, rel. 1000
- 38.1°, rel. 528
- 41.7°, rel. 140
- 50.2°, rel. 120
- 55.0°, rel. 353
- 57.8°, rel. 108
- 65.6°, rel. 392
- 68.9°, rel. 118
- 71.3°, rel. 65
- 77.7°, rel. 77

=====

Entry 5:
Diffraction record for H24AuC18I2Br3N8. The powder XRD pattern is simulated, not measured: it uses a PBE-relaxed structure and Cu Kα (weighted mean of Kα1 and Kα2).
Peak positions follow from Bragg's law for the DFT cell and can differ from measured ones.

```
H24AuC18I2Br3N8
1.0
5.981 -5.592 0.000
5.981 5.592 0.000
-2.368 0.000 9.793
H Au C I Br N
24 1 18 2 3 8
direct
0.014 0.415 0.099
0.045 0.760 0.155
0.067 0.737 0.714
0.084 0.757 0.544
0.149 0.565 0.606
0.178 0.178 0.185
0.225 0.225 0.370
0.240 0.955 0.845
0.243 0.916 0.456
0.263 0.933 0.286
0.415 0.014 0.099
0.435 0.851 0.394
0.565 0.149 0.606
0.585 0.986 0.901
0.737 0.067 0.714
0.757 0.084 0.544
0.760 0.045 0.155
0.775 0.775 0.630
0.822 0.822 0.815
0.851 0.435 0.394
0.916 0.243 0.456
0.933 0.263 0.286
0.955 0.240 0.845
0.986 0.585 0.901
0.500 0.500 0.500
0.097 0.493 0.174
0.111 0.661 0.203
0.142 0.701 0.633
0.253 0.253 0.273
0.299 0.858 0.367
0.302 0.550 0.354
0.339 0.889 0.797
0.450 0.698 0.646
0.493 0.097 0.174
0.507 0.903 0.826
0.550 0.302 0.354
0.661 0.111 0.203
0.698 0.450 0.646
0.701 0.142 0.633
0.747 0.747 0.727
0.858 0.299 0.367
0.889 0.339 0.797
0.903 0.507 0.826
0.406 0.406 0.885
0.594 0.594 0.115
0.000 0.000 0.000
0.226 0.226 0.611
0.774 0.774 0.389
0.216 0.428 0.268
0.239 0.693 0.313
0.307 0.761 0.687
0.428 0.216 0.268
0.572 0.784 0.732
0.693 0.239 0.313
0.761 0.307 0.687
0.784 0.572 0.732
```

The 12 most intense peaks (2θ = 10–90°), in order of rising 2θ:
- 11.0°, rel. 1000
- 15.3°, rel. 298
- 15.8°, rel. 536
- 20.8°, rel. 299
- 22.4°, rel. 167
- 24.2°, rel. 239
- 26.3°, rel. 548
- 27.0°, rel. 407
- 27.8°, rel. 219
- 31.2°, rel. 353
- 32.0°, rel. 202
- 38.8°, rel. 217

=====

Entry 6:
Diffraction record for H8AuC2S2BrN4. The powder XRD pattern is simulated, not measured: it uses a PBE-relaxed structure and Cu Kα (weighted mean of Kα1 and Kα2).
Peak positions follow from Bragg's law for the DFT cell and can differ from measured ones.

```
H8AuC2S2BrN4
1.0
4.296 -8.060 0.000
4.296 8.060 0.000
-1.090 0.000 6.538
H Au C S Br N
16 2 4 4 2 8
direct
0.017 0.547 0.257
0.026 0.180 0.077
0.098 0.660 0.903
0.180 0.026 0.577
0.197 0.227 0.268
0.227 0.197 0.768
0.340 0.902 0.597
0.453 0.983 0.243
0.547 0.017 0.757
0.660 0.098 0.403
0.773 0.803 0.232
0.803 0.773 0.732
0.820 0.974 0.423
0.902 0.340 0.097
0.974 0.820 0.923
0.983 0.453 0.743
0.500 0.500 0.000
0.500 0.500 0.500
0.119 0.398 0.292
0.398 0.119 0.792
0.602 0.881 0.208
0.881 0.602 0.708
0.275 0.545 0.497
0.455 0.725 0.003
0.545 0.275 0.997
0.725 0.455 0.503
0.130 0.870 0.250
0.870 0.130 0.750
0.000 0.427 0.215
0.000 0.573 0.785
0.108 0.253 0.212
0.253 0.108 0.712
0.427 0.000 0.715
0.573 0.000 0.285
0.747 0.892 0.288
0.892 0.747 0.788
```

The 12 most intense peaks (2θ = 10–90°), in order of rising 2θ:
- 11.0°, rel. 600
- 11.8°, rel. 1000
- 19.6°, rel. 565
- 21.0°, rel. 289
- 23.7°, rel. 338
- 25.6°, rel. 278
- 28.1°, rel. 462
- 29.5°, rel. 198
- 29.6°, rel. 225
- 31.4°, rel. 377
- 39.0°, rel. 250
- 48.5°, rel. 225

=====

Entry 7:
Diffraction record for Cs2CuAuBr4Cl2. The powder XRD pattern is simulated, not measured: it uses a PBE-relaxed structure and Cu Kα (weighted mean of Kα1 and Kα2).
Peak positions follow from Bragg's law for the DFT cell and can differ from measured ones.

```
Cs2CuAuBr4Cl2
1.0
-3.836 3.836 5.597
3.836 -3.836 5.597
3.836 3.836 -5.597
Cs Cu Au Br Cl
2 1 1 4 2
direct
0.250 0.750 0.500
0.750 0.250 0.500
0.000 0.000 0.000
0.500 0.500 0.000
0.268 0.268 0.536
0.268 0.732 0.000
0.732 0.268 0.000
0.732 0.732 0.464
0.193 0.193 0.000
0.807 0.807 0.000
```

The 12 most intense peaks (2θ = 10–90°), in order of rising 2θ:
- 14.0°, rel. 241
- 15.8°, rel. 202
- 22.8°, rel. 1000
- 23.2°, rel. 167
- 28.2°, rel. 366
- 32.0°, rel. 358
- 33.0°, rel. 728
- 40.5°, rel. 427
- 46.6°, rel. 474
- 47.4°, rel. 249
- 58.3°, rel. 233
- 62.8°, rel. 164

=====

Please write out number 7 again, unchanged.
Diffraction record for Cs2CuAuBr4Cl2. The powder XRD pattern is simulated, not measured: it uses a PBE-relaxed structure and Cu Kα (weighted mean of Kα1 and Kα2).
Peak positions follow from Bragg's law for the DFT cell and can differ from measured ones.

```
Cs2CuAuBr4Cl2
1.0
-3.836 3.836 5.597
3.836 -3.836 5.597
3.836 3.836 -5.597
Cs Cu Au Br Cl
2 1 1 4 2
direct
0.250 0.750 0.500
0.750 0.250 0.500
0.000 0.000 0.000
0.500 0.500 0.000
0.268 0.268 0.536
0.268 0.732 0.000
0.732 0.268 0.000
0.732 0.732 0.464
0.193 0.193 0.000
0.807 0.807 0.000
```

The 12 most intense peaks (2θ = 10–90°), in order of rising 2θ:
- 14.0°, rel. 241
- 15.8°, rel. 202
- 22.8°, rel. 1000
- 23.2°, rel. 167
- 28.2°, rel. 366
- 32.0°, rel. 358
- 33.0°, rel. 728
- 40.5°, rel. 427
- 46.6°, rel. 474
- 47.4°, rel. 249
- 58.3°, rel. 233
- 62.8°, rel. 164